Computed powder diffractogram
Compound: SiTe3Au
Radiation: λ = 1.5418 Å (Cu Kα)
Structure: a cell relaxed with GGA-PBE
Intensities are scaled so that the largest is 100.

Largest 12 diffraction maxima, by angle, 2θ = 10–90°:
- 13.69°, I = 38
- 24.61°, I = 24
- 26.44°, I = 100
- 30.09°, I = 67
- 30.88°, I = 74
- 36.45°, I = 32
- 39.48°, I = 29
- 39.99°, I = 35
- 43.25°, I = 36
- 43.64°, I = 23
- 45.33°, I = 33
- 47.11°, I = 27

Cell and atoms:
```
SiTe3Au
1.0
6.6940 0.0000 0.0000
3.0191 6.3296 0.0000
0.2131 3.3720 6.4697
Si Te Au
2 6 2
Direct
0.1580 0.1932 0.4881
0.8420 0.8068 0.5119
0.0344 0.6558 0.2268
0.2467 0.7233 0.6994
0.4341 0.0036 0.2480
0.5659 0.9964 0.7520
0.7533 0.2767 0.3006
0.9656 0.3442 0.7732
0.3570 0.7714 0.0470
0.6430 0.2286 0.9530
```



Computed powder diffractogram
Compound: HoTe2Pd7
Radiation: λ = 1.5418 Å (Cu Kα)
Structure: a cell relaxed with GGA-PBE
Intensities are scaled so that the largest is 100.

Largest 12 diffraction maxima, by angle, 2θ = 10–90°:
- 24.52°, I = 25
- 34.45°, I = 7
- 39.21°, I = 100
- 43.06°, I = 5
- 43.21°, I = 40
- 50.08°, I = 11
- 50.31°, I = 7
- 62.76°, I = 13
- 68.25°, I = 16
- 76.56°, I = 27
- 84.30°, I = 9
- 86.66°, I = 7

Cell and atoms:
```
HoTe2Pd7
1.0
-2.0936 2.0936 10.9281
2.0936 -2.0936 10.9281
2.0936 2.0936 -10.9281
Ho Te Pd
1 2 7
Direct
0.0000 0.0000 0.0000
0.3295 0.3295 0.0000
0.6705 0.6705 0.0000
0.0923 0.5923 0.5000
0.2500 0.7500 0.5000
0.4077 0.9077 0.5000
0.5000 0.5000 0.0000
0.5923 0.0923 0.5000
0.7500 0.2500 0.5000
0.9077 0.4077 0.5000
```



Computed powder diffractogram
Compound: La4Ho
Radiation: λ = 1.5418 Å (Cu Kα)
Structure: a cell relaxed with GGA-PBE
Intensities are scaled so that the largest is 100.

Largest 12 diffraction maxima, by angle, 2θ = 10–90°:
- 29.67°, I = 100
- 34.27°, I = 34
- 34.62°, I = 17
- 49.25°, I = 12
- 49.51°, I = 24
- 58.55°, I = 29
- 59.02°, I = 14
- 61.59°, I = 13
- 79.95°, I = 6
- 80.35°, I = 12
- 82.42°, I = 5
- 82.62°, I = 5

Cell and atoms:
```
La4Ho
1.0
8.2743 0.0000 0.0000
0.0000 8.2743 0.0000
0.0000 0.0000 5.1819
La Ho
8 2
Direct
0.1010 0.7031 0.0000
0.2031 0.3990 0.5000
0.2969 0.1010 0.0000
0.3990 0.7969 0.5000
0.6010 0.2031 0.5000
0.7031 0.8990 0.0000
0.7969 0.6010 0.5000
0.8990 0.2969 0.0000
0.0000 0.0000 0.5000
0.5000 0.5000 0.0000
```



Computed powder diffractogram
Compound: Ba2AgAs3
Radiation: λ = 1.5418 Å (Cu Kα)
Structure: a cell relaxed with GGA-PBE
Intensities are scaled so that the largest is 100.

Largest 12 diffraction maxima, by angle, 2θ = 10–90°:
- 28.81°, I = 100
- 30.02°, I = 45
- 36.91°, I = 24
- 38.18°, I = 23
- 39.79°, I = 40
- 48.29°, I = 22
- 51.40°, I = 10
- 54.15°, I = 15
- 56.32°, I = 27
- 61.62°, I = 10
- 63.36°, I = 10
- 64.95°, I = 9

Cell and atoms:
```
Ba2AgAs3
1.0
0.0000 4.8703 7.6781
4.7142 0.0000 7.6781
4.7142 4.8703 0.0000
Ba Ag As
4 2 6
Direct
0.2361 0.7639 0.7639
0.2500 0.2500 0.2500
0.7500 0.7500 0.7500
0.7639 0.2361 0.2361
0.3277 0.3277 0.6723
0.6723 0.6723 0.3277
0.1592 0.1592 0.8408
0.1887 0.6449 0.3551
0.3551 0.8113 0.1887
0.6449 0.1887 0.8113
0.8113 0.3551 0.6449
0.8408 0.8408 0.1592
```



Computed powder diffractogram
Compound: BaMg6
Radiation: λ = 1.5418 Å (Cu Kα)
Structure: a cell relaxed with GGA-PBE
Intensities are scaled so that the largest is 100.

Largest 12 diffraction maxima, by angle, 2θ = 10–90°:
- 16.50°, I = 35
- 18.28°, I = 93
- 25.39°, I = 41
- 28.90°, I = 35
- 29.37°, I = 62
- 31.23°, I = 88
- 31.47°, I = 100
- 32.18°, I = 28
- 33.46°, I = 26
- 34.19°, I = 34
- 41.67°, I = 28
- 53.07°, I = 29

Cell and atoms:
```
BaMg6
1.0
9.9196 0.0000 0.0000
0.0000 6.1787 0.0000
0.0000 0.0000 12.7812
Ba Mg
4 24
Direct
0.2419 0.2500 0.0604
0.2581 0.7500 0.5604
0.7419 0.2500 0.4396
0.7581 0.7500 0.9396
0.0615 0.7500 0.0934
0.0664 0.0085 0.3110
0.0664 0.4915 0.3110
0.0917 0.2500 0.5193
0.1417 0.7500 0.8550
0.1862 0.2500 0.7532
0.3138 0.7500 0.2532
0.3583 0.2500 0.3550
0.4083 0.7500 0.0193
0.4336 0.5085 0.8110
0.4336 0.9915 0.8110
0.4385 0.2500 0.5934
0.5615 0.7500 0.4066
0.5664 0.0085 0.1890
0.5664 0.4915 0.1890
0.5917 0.2500 0.9807
0.6417 0.7500 0.6450
0.6862 0.2500 0.7468
0.8138 0.7500 0.2468
0.8583 0.2500 0.1450
0.9083 0.7500 0.4807
0.9336 0.5085 0.6890
0.9336 0.9915 0.6890
0.9385 0.2500 0.9066
```



Computed powder diffractogram
Compound: AcLa4Pd2
Radiation: λ = 1.5418 Å (Cu Kα)
Structure: a cell relaxed with GGA-PBE
Intensities are scaled so that the largest is 100.

Largest 12 diffraction maxima, by angle, 2θ = 10–90°:
- 26.07°, I = 38
- 28.32°, I = 56
- 28.58°, I = 52
- 28.99°, I = 64
- 30.07°, I = 66
- 31.87°, I = 69
- 32.00°, I = 39
- 32.81°, I = 36
- 33.04°, I = 39
- 33.78°, I = 64
- 35.17°, I = 100
- 44.27°, I = 41

Cell and atoms:
```
AcLa4Pd2
1.0
8.4263 0.0000 0.0000
0.0000 6.8367 0.0000
-3.5193 0.0000 7.6908
Ac La Pd
2 8 4
Direct
0.0125 0.2500 0.1455
0.9875 0.7500 0.8545
0.2271 0.5115 0.5934
0.2271 0.9885 0.5934
0.3625 0.7500 0.2865
0.3880 0.2500 0.0064
0.6120 0.7500 0.9936
0.6375 0.2500 0.7135
0.7729 0.0115 0.4066
0.7729 0.4885 0.4066
0.0101 0.2500 0.7674
0.4006 0.2500 0.3576
0.5994 0.7500 0.6424
0.9899 0.7500 0.2326
```



Computed powder diffractogram
Compound: YbOsF6
Radiation: λ = 1.5418 Å (Cu Kα)
Structure: a cell relaxed with GGA-PBE
Intensities are scaled so that the largest is 100.

Largest 12 diffraction maxima, by angle, 2θ = 10–90°:
- 21.28°, I = 100
- 30.27°, I = 53
- 37.30°, I = 12
- 43.34°, I = 22
- 48.77°, I = 43
- 53.76°, I = 17
- 53.82°, I = 5
- 62.90°, I = 7
- 63.02°, I = 7
- 67.29°, I = 16
- 71.44°, I = 10
- 87.41°, I = 6

Cell and atoms:
```
YbOsF6
1.0
2.9501 1.7033 4.8297
-2.9501 1.7033 4.8297
0.0000 -3.4065 4.8297
Yb Os F
1 1 6
Direct
0.0000 0.0000 0.0000
0.5000 0.5000 0.5000
0.2645 0.2645 0.7357
0.2645 0.7357 0.2645
0.2643 0.7355 0.7355
0.7357 0.2645 0.2645
0.7355 0.2643 0.7355
0.7355 0.7355 0.2643
```



Computed powder diffractogram
Compound: Y3RuI
Radiation: λ = 1.5418 Å (Cu Kα)
Structure: a cell relaxed with GGA-PBE
Intensities are scaled so that the largest is 100.

Largest 12 diffraction maxima, by angle, 2θ = 10–90°:
- 21.72°, I = 23
- 26.13°, I = 24
- 28.28°, I = 57
- 34.22°, I = 100
- 36.29°, I = 34
- 36.79°, I = 30
- 43.12°, I = 39
- 44.24°, I = 26
- 50.24°, I = 16
- 57.59°, I = 19
- 58.50°, I = 16
- 80.66°, I = 19

Cell and atoms:
```
Y3RuI
1.0
4.0949 0.0000 0.0000
0.0000 7.2643 0.0000
0.0000 0.0000 9.9032
Y Ru I
6 2 2
Direct
0.2500 0.0041 0.1425
0.2500 0.4959 0.1425
0.2500 0.7500 0.6246
0.7500 0.2500 0.3754
0.7500 0.5041 0.8575
0.7500 0.9959 0.8575
0.2500 0.7500 0.9038
0.7500 0.2500 0.0962
0.2500 0.2500 0.6362
0.7500 0.7500 0.3638
```



Computed powder diffractogram
Compound: Ce3UC3
Radiation: λ = 1.5418 Å (Cu Kα)
Structure: a cell relaxed with GGA-PBE
Intensities are scaled so that the largest is 100.

Largest 12 diffraction maxima, by angle, 2θ = 10–90°:
- 13.54°, I = 40
- 21.50°, I = 39
- 28.97°, I = 100
- 32.11°, I = 87
- 33.61°, I = 56
- 36.35°, I = 29
- 40.21°, I = 44
- 41.41°, I = 67
- 50.32°, I = 26
- 54.35°, I = 60
- 64.53°, I = 45
- 85.32°, I = 26

Cell and atoms:
```
Ce3UC3
1.0
7.5531 0.0000 0.0000
-3.7765 6.5412 0.0000
0.0000 0.0000 5.3324
Ce U C
6 2 6
Direct
0.0538 0.6979 0.2500
0.3021 0.3559 0.2500
0.3559 0.0538 0.7500
0.6441 0.9462 0.2500
0.6979 0.6441 0.7500
0.9462 0.3021 0.7500
0.3333 0.6667 0.7500
0.6667 0.3333 0.2500
0.0499 0.6942 0.7500
0.3058 0.3558 0.7500
0.3558 0.0499 0.2500
0.6442 0.9501 0.7500
0.6942 0.6442 0.2500
0.9501 0.3058 0.2500
```



Computed powder diffractogram
Compound: Tb12HoTh2
Radiation: λ = 1.5418 Å (Cu Kα)
Structure: a cell relaxed with GGA-PBE
Intensities are scaled so that the largest is 100.

Largest 12 diffraction maxima, by angle, 2θ = 10–90°:
- 30.13°, I = 93
- 30.37°, I = 61
- 31.26°, I = 72
- 31.99°, I = 100
- 32.29°, I = 31
- 32.31°, I = 30
- 32.55°, I = 100
- 33.37°, I = 60
- 46.10°, I = 46
- 51.62°, I = 26
- 54.94°, I = 26
- 62.03°, I = 30

Cell and atoms:
```
Tb12HoTh2
1.0
3.5413 0.0000 0.0000
0.0000 5.5952 0.0000
-1.7568 0.0000 24.4845
Tb Ho Th
12 1 2
Direct
0.0381 0.0000 0.0728
0.2247 0.0000 0.4451
0.2870 0.5000 0.5778
0.3333 0.0000 0.6703
0.3976 0.0000 0.7989
0.4288 0.5000 0.8637
0.5712 0.5000 0.1363
0.6024 0.0000 0.2011
0.6667 0.0000 0.3297
0.7130 0.5000 0.4222
0.7753 0.0000 0.5549
0.9619 0.0000 0.9272
0.5000 0.5000 0.0000
0.1373 0.5000 0.2707
0.8627 0.5000 0.7293
```



Computed powder diffractogram
Compound: NdTmO4
Radiation: λ = 1.5418 Å (Cu Kα)
Structure: a cell relaxed with GGA-PBE
Intensities are scaled so that the largest is 100.

Largest 12 diffraction maxima, by angle, 2θ = 10–90°:
- 26.88°, I = 33
- 28.39°, I = 45
- 29.35°, I = 100
- 31.04°, I = 38
- 32.11°, I = 23
- 36.74°, I = 16
- 40.61°, I = 15
- 46.76°, I = 20
- 47.30°, I = 25
- 49.76°, I = 28
- 52.99°, I = 24
- 54.77°, I = 16

Cell and atoms:
```
NdTmO4
1.0
6.6896 0.0000 0.0000
0.0000 3.8857 0.0000
-0.8262 0.0000 6.2879
Nd Tm O
2 2 8
Direct
0.0000 0.0000 0.0000
0.5000 0.5000 0.0000
0.3856 0.0000 0.4599
0.8856 0.5000 0.4599
0.0470 0.0000 0.3871
0.1117 0.5000 0.7825
0.2837 0.5000 0.6507
0.3458 0.0000 0.1021
0.5470 0.5000 0.3871
0.6117 0.0000 0.7825
0.7837 0.0000 0.6507
0.8458 0.5000 0.1021
```



Computed powder diffractogram
Compound: PrMgB14
Radiation: λ = 1.5418 Å (Cu Kα)
Structure: a cell relaxed with GGA-PBE
Intensities are scaled so that the largest is 100.

Largest 12 diffraction maxima, by angle, 2θ = 10–90°:
- 13.38°, I = 88
- 16.40°, I = 74
- 18.31°, I = 35
- 24.68°, I = 80
- 26.94°, I = 34
- 27.34°, I = 100
- 33.08°, I = 76
- 34.45°, I = 39
- 36.20°, I = 72
- 39.38°, I = 56
- 40.84°, I = 73
- 53.57°, I = 36

Cell and atoms:
```
PrMgB14
1.0
-2.9702 5.4060 4.1847
2.9702 -5.4060 4.1847
2.9702 5.4060 -4.1847
Pr Mg B
2 2 28
Direct
0.3881 0.1381 0.2500
0.6119 0.8619 0.7500
0.0000 0.0000 0.5000
0.0000 0.5000 0.0000
0.0005 0.8702 0.1303
0.0284 0.2046 0.3274
0.0284 0.7010 0.8238
0.0857 0.6684 0.4173
0.1954 0.5293 0.6660
0.2189 0.4998 0.3993
0.2189 0.8196 0.7191
0.2399 0.8702 0.3697
0.2490 0.3316 0.9173
0.3633 0.5293 0.8340
0.3772 0.2046 0.6762
0.3772 0.7010 0.1726
0.3995 0.1804 0.8993
0.3995 0.5002 0.2191
0.6005 0.4998 0.7809
0.6005 0.8196 0.1007
0.6228 0.2990 0.8274
0.6228 0.7954 0.3238
0.6367 0.4707 0.1660
0.7510 0.6684 0.0827
0.7601 0.1298 0.6303
0.7811 0.1804 0.2809
0.7811 0.5002 0.6007
0.8046 0.4707 0.3340
0.9143 0.3316 0.5827
0.9716 0.2990 0.1762
0.9716 0.7954 0.6726
0.9995 0.1298 0.8697
```